This entry pairs a crystal structure of Mn3SiN4 with its theoretical PXRD pattern. Radiation: Cu Kα (weighted mean of Kα1 and Kα2). Structure: a cell relaxed with PBE.

Main lines, in order of falling intensity (10 to 90 degrees two-theta):
two_theta, I/Imax
38.1, 100
39.2, 74
32.5, 74
38.5, 49
33.0, 28
58.6, 28

Structure:
```
Mn3SiN4
1.0
6.3986 0.0000 0.0000
0.0000 5.4303 0.0000
0.0000 0.0000 4.5976
Mn Si N
6 2 8
Cartesian
0.0000 1.2475 0.0000
1.4395 3.4611 4.5766
1.7598 1.9691 2.2779
3.1993 4.1828 2.2988
4.6388 1.9691 2.2779
4.9591 3.4611 4.5766
0.0000 4.7352 2.3933
3.1993 0.6951 0.0945
0.0000 0.9840 1.8908
0.0000 4.7385 4.1424
1.3761 3.8275 1.8619
1.8232 1.6027 4.1607
3.1993 0.6917 1.8437
3.1993 4.4463 4.1896
4.5754 1.6027 4.1607
5.0225 3.8275 1.8619
```


This entry pairs a crystal structure of CsLiI2 with its theoretical PXRD pattern. Radiation: Cu Kα (weighted mean of Kα1 and Kα2). Structure: a cell relaxed with PBE.

Main lines, in order of falling intensity (10 to 90 degrees two-theta):
two_theta, I/Imax
26.0, 100
26.3, 20
46.2, 15
37.3, 11
45.9, 10
36.8, 9

Structure:
```
CsLiI2
1.0
2.4430 -10.2639 0.0000
2.4430 10.2639 0.0000
0.0000 0.0000 13.5736
Cs Li I
4 4 8
Cartesian
2.4430 10.0478 6.7868
2.4430 7.0391 10.5721
2.4430 -7.0391 3.7853
2.4430 -10.0478 0.0000
2.4430 5.7669 6.4982
2.4430 2.7095 9.7147
2.4430 -2.7095 2.9279
2.4430 -5.7669 13.2850
2.4430 6.3887 3.8029
2.4430 3.3376 0.5857
2.4430 3.0086 6.8955
2.4430 -0.0024 3.5006
2.4430 0.0024 10.2874
2.4430 -3.0086 0.1087
2.4430 -3.3376 7.3725
2.4430 -6.3887 10.5897
```


This entry pairs a crystal structure of SrSm2O4 with its theoretical PXRD pattern. Radiation: Cu Kα (weighted mean of Kα1 and Kα2). Structure: a cell relaxed with PBE.

Main lines, in order of falling intensity (10 to 90 degrees two-theta):
two_theta, I/Imax
28.1, 100
53.4, 35
38.3, 31
31.0, 29
28.0, 29
35.7, 28

Structure:
```
SrSm2O4
1.0
1.7353 -5.7702 0.0000
1.7353 5.7702 0.0000
0.0000 0.0000 11.3972
Sr Sm O
2 4 8
Cartesian
1.7353 4.4790 8.5479
1.7353 -4.4790 2.8493
1.7353 1.5313 6.5385
1.7353 1.5313 10.5573
1.7353 -1.5313 0.8399
1.7353 -1.5313 4.8587
0.0000 0.0000 0.0000
0.0000 0.0000 5.6986
1.7353 2.7225 1.2599
1.7353 2.7225 4.4387
1.7353 0.4434 8.5479
1.7353 -0.4434 2.8493
1.7353 -2.7225 6.9585
1.7353 -2.7225 10.1373
```


This entry pairs a crystal structure of LiMg2H7Ru with its theoretical PXRD pattern. Radiation: Cu Kα (weighted mean of Kα1 and Kα2). Structure: a cell relaxed with PBE.

Main lines, in order of falling intensity (10 to 90 degrees two-theta):
two_theta, I/Imax
16.6, 100
27.5, 72
21.9, 63
38.3, 52
42.0, 50
40.4, 47

Structure:
```
LiMg2H7Ru
1.0
4.6963 0.0000 0.0000
-2.3482 4.0671 0.0000
0.0000 0.0000 10.6994
Li Mg H Ru
2 4 14 2
Cartesian
0.0000 0.0000 2.6749
0.0000 0.0000 8.0246
0.0000 2.7114 0.8033
0.0000 2.7114 4.5464
2.3482 1.3557 6.1530
2.3482 1.3557 9.8961
0.0000 1.3509 6.3734
0.0000 1.3509 9.6757
-1.1782 3.3917 6.3734
-1.1782 3.3917 9.6757
1.1699 0.6754 1.0237
1.1699 0.6754 4.3260
0.0000 2.7114 2.6749
2.3482 1.3557 8.0246
1.1782 3.3917 6.3734
1.1782 3.3917 9.6757
3.5264 0.6754 1.0237
3.5264 0.6754 4.3260
2.3482 2.7162 1.0237
2.3482 2.7162 4.3260
0.0000 0.0000 0.0000
0.0000 0.0000 5.3497
```


This entry pairs a crystal structure of ScCoSn with its theoretical PXRD pattern. Radiation: Cu Kα (weighted mean of Kα1 and Kα2). Structure: a cell relaxed with PBE.

Main lines, in order of falling intensity (10 to 90 degrees two-theta):
two_theta, I/Imax
35.3, 100
43.0, 68
40.6, 61
28.1, 51
17.9, 36
34.7, 33

Structure:
```
ScCoSn
1.0
6.8902 0.0000 0.0000
0.0000 4.4425 0.0000
0.0000 0.0000 7.1553
Sc Co Sn
4 4 4
Cartesian
0.1383 1.1106 1.5084
3.3068 3.3318 5.0860
3.5834 1.1106 2.0693
6.7519 3.3318 5.6469
1.0267 3.3318 3.2235
2.4184 1.1106 6.8012
4.4718 3.3318 0.3541
5.8635 1.1106 3.9318
1.4934 1.1106 4.3862
1.9517 3.3318 0.8085
4.9385 1.1106 6.3468
5.3968 3.3318 2.7691
```


This entry pairs a crystal structure of EuTaNO2 with its theoretical PXRD pattern. Radiation: Cu Kα (weighted mean of Kα1 and Kα2). Structure: a cell relaxed with PBE.

Main lines, in order of falling intensity (10 to 90 degrees two-theta):
two_theta, I/Imax
31.1, 100
31.4, 47
55.6, 40
44.9, 25
55.1, 20
64.8, 16

Structure:
```
EuTaNO2
1.0
4.0346 0.0000 0.0000
0.0000 4.0346 0.0000
0.0000 0.0000 4.1094
Eu Ta N O
1 1 1 2
Cartesian
0.0000 0.0000 0.0000
2.0173 2.0173 2.0547
2.0173 2.0173 0.0000
0.0000 2.0173 2.0547
2.0173 0.0000 2.0547
```


This entry pairs a crystal structure of K9Sm3Si12O32F2 with its theoretical PXRD pattern. Radiation: Cu Kα (weighted mean of Kα1 and Kα2). Structure: a cell relaxed with PBE.

Main lines, in order of falling intensity (10 to 90 degrees two-theta):
two_theta, I/Imax
27.0, 100
26.3, 90
27.9, 78
30.1, 78
29.1, 68
17.7, 67

Structure:
```
K9Sm3Si12O32F2
1.0
6.9973 0.0000 0.0000
1.9710 11.3717 0.0000
0.1054 0.4695 11.6264
K Sm Si O F
9 3 12 32 2
Cartesian
0.0000 0.0000 0.0000
2.5057 4.8353 11.4281
2.7049 2.1130 9.1453
2.7191 2.2723 2.5685
4.7535 7.8394 5.6996
4.3202 4.0018 5.9268
6.3546 9.5689 9.0579
6.3688 9.7281 2.4811
6.5680 7.0059 0.1983
1.1827 6.1584 7.7395
3.5514 0.2348 5.8132
7.8910 5.6828 3.8869
0.8816 2.8897 5.9424
2.9233 10.4884 3.5334
2.8992 10.1217 8.0117
2.7076 7.9883 1.8540
2.9136 7.9978 10.2624
4.3578 5.6313 2.9814
4.7159 6.2099 8.6450
6.1601 3.8434 1.3640
6.3661 3.8529 9.7724
6.1745 1.7195 3.6147
6.1504 1.3528 8.0930
8.1921 8.9515 5.6840
7.7695 4.3644 9.1850
1.3042 7.4768 2.4414
1.6975 9.2534 7.2691
0.9770 4.5140 6.0182
2.3096 11.6187 8.4103
1.5725 7.2525 9.8092
2.4528 9.4751 4.7359
2.9797 9.6001 2.1335
2.8171 7.8590 0.2307
3.1674 9.4403 9.4967
2.2517 2.1199 6.2823
3.0465 4.9249 3.5958
3.4810 6.1145 7.6081
4.3504 11.1387 3.8391
4.2614 10.2101 7.1868
4.0303 7.1969 2.4715
4.2650 7.0463 10.0354
4.8087 4.7949 1.5910
5.0434 4.6443 9.1549
4.8123 1.6311 4.4396
4.7233 0.7025 7.7873
5.5927 5.7266 4.0183
6.0272 6.9163 8.0306
6.8220 9.7213 5.3441
5.9063 2.4009 2.1297
6.2566 3.9822 11.3957
6.0940 2.2411 9.4929
6.6209 2.3661 6.8905
7.5012 4.5887 1.8172
6.7641 0.2225 3.2161
8.0967 7.3272 5.6082
7.3762 2.5878 4.3573
2.0926 1.7772 0.0478
6.9811 10.0640 11.5786
```


This entry pairs a crystal structure of PrNi3 with its theoretical PXRD pattern. Radiation: Cu Kα (weighted mean of Kα1 and Kα2). Structure: a cell relaxed with PBE.

Main lines, in order of falling intensity (10 to 90 degrees two-theta):
two_theta, I/Imax
41.9, 100
35.5, 46
32.4, 44
35.4, 36
41.4, 36
63.7, 21

Structure:
```
PrNi3
1.0
2.5274 1.4592 8.2952
-2.5274 1.4592 8.2952
0.0000 -2.9184 8.2952
Pr Ni
3 9
Cartesian
0.0000 0.0000 0.0000
0.0000 0.0000 3.4544
0.0000 0.0000 21.4313
-1.2568 -0.7256 10.3048
0.0000 0.0000 8.2720
0.0000 -1.4513 14.5809
-1.2568 0.7256 14.5809
0.0000 0.0000 12.4429
1.2568 -0.7256 10.3048
0.0000 1.4513 10.3048
0.0000 0.0000 16.6138
1.2568 0.7256 14.5810
```


This entry pairs a crystal structure of TbCuTe2 with its theoretical PXRD pattern. Radiation: Cu Kα (weighted mean of Kα1 and Kα2). Structure: a cell relaxed with PBE.

Main lines, in order of falling intensity (10 to 90 degrees two-theta):
two_theta, I/Imax
26.9, 100
35.1, 65
41.5, 56
45.9, 23
50.2, 18
55.5, 17

Structure:
```
TbCuTe2
1.0
8.6990 0.0000 0.0000
-4.3495 7.5336 0.0000
0.0000 0.0000 13.9390
Tb Cu Te
8 8 16
Cartesian
0.0000 0.0000 3.4195
0.0000 0.0000 10.5196
-2.1162 3.8006 3.6268
2.1162 3.8006 3.6268
0.0000 7.4660 3.6268
4.3495 0.0676 10.3122
2.2333 3.7330 10.3122
6.4657 3.7330 10.3122
0.0000 2.4858 1.0152
-2.1967 6.2906 1.0152
2.1528 1.2429 12.9239
0.0000 5.0224 5.9597
4.3495 2.5112 7.9794
2.1967 6.2906 1.0152
6.5462 1.2429 12.9239
4.3495 5.0477 12.9239
0.0000 2.4546 5.3046
-2.2237 6.3063 5.3046
0.0000 2.6029 12.2770
-2.0953 6.2321 12.2770
2.1258 1.2273 8.6344
0.0000 5.0224 1.6316
0.0000 5.0224 8.6453
2.2542 1.3015 1.6620
2.0953 6.2321 12.2770
4.3495 2.5112 5.2938
4.3495 2.5112 12.3074
2.2238 6.3063 5.3046
6.4448 1.3015 1.6620
4.3495 4.9306 1.6620
6.5733 1.2273 8.6344
4.3495 5.0790 8.6344
```


This entry pairs a crystal structure of LiTiPd2 with its theoretical PXRD pattern. Radiation: Cu Kα (weighted mean of Kα1 and Kα2). Structure: a cell relaxed with PBE.

Main lines, in order of falling intensity (10 to 90 degrees two-theta):
two_theta, I/Imax
41.4, 100
28.9, 50
75.5, 32
68.0, 17
60.0, 16
51.3, 14

Structure:
```
LiTiPd2
1.0
6.1686 0.0000 0.0000
0.0000 6.1686 0.0000
0.0000 0.0000 6.1686
Li Ti Pd
4 4 8
Cartesian
0.0000 0.0000 0.0000
0.0000 3.0843 3.0843
3.0843 0.0000 3.0843
3.0843 3.0843 0.0000
0.0000 0.0000 3.0843
0.0000 3.0843 0.0000
3.0843 0.0000 0.0000
3.0843 3.0843 3.0843
1.5421 1.5421 1.5421
1.5421 1.5421 4.6264
1.5421 4.6264 1.5421
1.5421 4.6264 4.6264
4.6264 1.5421 1.5421
4.6264 1.5421 4.6264
4.6264 4.6264 1.5421
4.6264 4.6264 4.6264
```


This entry pairs a crystal structure of HoInPt2 with its theoretical PXRD pattern. Radiation: Cu Kα (weighted mean of Kα1 and Kα2). Structure: a cell relaxed with PBE.

Main lines, in order of falling intensity (10 to 90 degrees two-theta):
two_theta, I/Imax
37.4, 100
67.5, 36
54.0, 18
79.8, 11
26.2, 3
61.0, 1

Structure:
```
HoInPt2
1.0
6.7962 0.0000 0.0000
0.0000 6.7962 0.0000
0.0000 0.0000 6.7962
Ho In Pt
4 4 8
Cartesian
0.0000 0.0000 0.0000
0.0000 3.3981 3.3981
3.3981 0.0000 3.3981
3.3981 3.3981 0.0000
0.0000 0.0000 3.3981
0.0000 3.3981 0.0000
3.3981 0.0000 0.0000
3.3981 3.3981 3.3981
1.6991 1.6991 1.6991
1.6991 1.6991 5.0972
1.6991 5.0972 1.6991
1.6991 5.0972 5.0972
5.0972 1.6991 1.6991
5.0972 1.6991 5.0972
5.0972 5.0972 1.6991
5.0972 5.0972 5.0972
```